Theoretical PXRD pattern of Na3GdB8O15 for λ = 1.5418 Å (Cu Kα), from a crystal structure in OQMD, relaxed with GGA-PBE.
Peak positions follow from Bragg's law for the DFT cell and can differ from measured ones.

The 12 most intense peaks (10 to 80 degrees two-theta), in order of rising 2θ:
2θ (°)	I/Imax	h k l
14.1	100.0	0 1 -1
15.2	47.8	0 1 1
15.9	99.4	1 0 0
17.9	67.0	0 1 -2
18.1	53.7	1 -1 1
19.6	48.0	0 1 2
26.2	41.6	0 2 0
26.6	51.7	1 1 1
28.4	47.1	1 -2 2
31.3	62.3	0 1 4
31.5	46.7	2 0 -1
31.8	44.1	0 2 -3

Crystal structure
Cell lengths 6.211, 7.456, 13.449 Å; angles 90.56, 100.68, 113.73 degrees
Positions (direct):
1 Na 0.095 0.318 0.108
2 Na 0.254 0.741 0.475
3 Na 0.364 0.618 0.775
4 Na 0.636 0.382 0.225
5 Na 0.746 0.259 0.525
6 Na 0.905 0.682 0.892
7 Gd 0.083 0.755 0.169
8 Gd 0.917 0.245 0.831
9 B 0.103 0.156 0.657
10 B 0.166 0.394 0.318
11 B 0.210 0.291 0.489
12 B 0.267 0.057 0.986
13 B 0.321 0.134 0.358
14 B 0.365 0.979 0.685
15 B 0.379 0.634 0.999
16 B 0.386 0.202 0.827
17 B 0.614 0.798 0.173
18 B 0.621 0.366 0.001
19 B 0.635 0.021 0.315
20 B 0.679 0.866 0.642
21 B 0.733 0.943 0.014
22 B 0.790 0.709 0.511
23 B 0.834 0.606 0.682
24 B 0.897 0.844 0.343
25 O 0.071 0.488 0.251
26 O 0.129 0.288 0.576
27 O 0.152 0.925 0.329
28 O 0.156 0.893 0.027
29 O 0.165 0.994 0.635
30 O 0.166 0.421 0.422
31 O 0.192 0.491 0.939
32 O 0.209 0.070 0.882
33 O 0.256 0.283 0.753
34 O 0.261 0.267 0.288
35 O 0.333 0.186 0.465
36 O 0.407 0.644 0.105
37 O 0.433 0.843 0.647
38 O 0.448 0.224 0.047
39 O 0.495 0.090 0.776
40 O 0.505 0.910 0.224
41 O 0.552 0.776 0.953
42 O 0.567 0.157 0.353
43 O 0.593 0.356 0.895
44 O 0.667 0.814 0.535
45 O 0.739 0.733 0.712
46 O 0.744 0.717 0.247
47 O 0.791 0.930 0.118
48 O 0.808 0.509 0.061
49 O 0.834 0.579 0.578
50 O 0.835 0.006 0.365
51 O 0.844 0.107 0.973
52 O 0.848 0.075 0.671
53 O 0.871 0.712 0.424
54 O 0.929 0.512 0.749

---

Theoretical PXRD pattern of Na2Gd2B2O7 for λ = 1.5418 Å (Cu Kα), from a crystal structure in OQMD, relaxed with GGA-PBE.
Peak positions follow from Bragg's law for the DFT cell and can differ from measured ones.

The 12 most intense peaks (10 to 80 degrees two-theta), in order of rising 2θ:
2θ (°)	I/Imax	h k l
25.5	31.4	1 0 2
26.0	38.8	3 0 -2
28.9	44.3	2 1 1
29.2	33.1	3 1 -1
30.1	100.0	1 1 -3
30.2	66.4	2 1 -3
33.3	57.0	2 0 2
33.9	43.6	4 0 -2
44.4	24.4	2 2 2
48.5	24.4	5 0 0
52.6	24.2	0 1 5
53.4	30.9	5 1 -5

Crystal structure
Cell lengths 10.607, 6.268, 10.246 Å; angles 90.00, 117.86, 90.00 degrees
Positions (direct):
1 Na 0.026 0.061 0.261
2 Na 0.026 0.439 0.761
3 Na 0.111 0.729 0.049
4 Na 0.111 0.771 0.549
5 Na 0.889 0.229 0.451
6 Na 0.889 0.271 0.951
7 Na 0.974 0.561 0.239
8 Na 0.974 0.939 0.739
9 Gd 0.314 0.080 0.911
10 Gd 0.314 0.420 0.411
11 Gd 0.483 0.539 0.181
12 Gd 0.483 0.961 0.681
13 Gd 0.517 0.039 0.319
14 Gd 0.517 0.461 0.819
15 Gd 0.686 0.580 0.589
16 Gd 0.686 0.920 0.089
17 B 0.180 0.248 0.579
18 B 0.180 0.252 0.079
19 B 0.290 0.652 0.851
20 B 0.290 0.848 0.351
21 B 0.710 0.152 0.649
22 B 0.710 0.348 0.149
23 B 0.820 0.748 0.921
24 B 0.820 0.752 0.421
25 O 0.099 0.163 0.942
26 O 0.099 0.337 0.442
27 O 0.126 0.144 0.660
28 O 0.126 0.356 0.160
29 O 0.181 0.743 0.866
30 O 0.181 0.757 0.366
31 O 0.330 0.236 0.134
32 O 0.330 0.264 0.634
33 O 0.347 0.742 0.270
34 O 0.347 0.758 0.770
35 O 0.349 0.043 0.413
36 O 0.349 0.457 0.913
37 O 0.473 0.624 0.596
38 O 0.473 0.876 0.096
39 O 0.527 0.124 0.904
40 O 0.527 0.376 0.404
41 O 0.651 0.543 0.087
42 O 0.651 0.957 0.587
43 O 0.653 0.242 0.230
44 O 0.653 0.258 0.730
45 O 0.670 0.736 0.366
46 O 0.670 0.764 0.866
47 O 0.819 0.243 0.634
48 O 0.819 0.257 0.134
49 O 0.874 0.644 0.840
50 O 0.874 0.856 0.340
51 O 0.901 0.663 0.558
52 O 0.901 0.837 0.058

---

Theoretical PXRD pattern of NdGd2B2 for λ = 1.5418 Å (Cu Kα), from a crystal structure in OQMD, relaxed with GGA-PBE.
Peak positions follow from Bragg's law for the DFT cell and can differ from measured ones.

The 12 most intense peaks (10 to 80 degrees two-theta), in order of rising 2θ:
2θ (°)	I/Imax	h k l
26.2	70.1	0 0 6
27.7	100.0	1 0 1
28.8	78.2	1 0 2
32.6	98.4	1 0 4
35.3	89.3	1 0 5
48.4	52.3	1 1 0
53.0	29.9	1 0 10
55.9	53.2	1 1 6
57.2	19.3	1 0 11
59.6	17.4	2 0 4
61.3	22.7	2 0 5
75.4	16.5	1 1 12

Crystal structure
Cell lengths 3.760, 3.760, 20.400 Å; angles 90.00, 90.00, 120.00 degrees
Positions (direct):
1 Nd 0.000 0.000 0.000
2 Nd 0.000 0.000 0.500
3 Gd 0.333 0.667 0.155
4 Gd 0.333 0.667 0.345
5 Gd 0.667 0.333 0.655
6 Gd 0.667 0.333 0.845
7 B 0.333 0.667 0.589
8 B 0.333 0.667 0.911
9 B 0.667 0.333 0.089
10 B 0.667 0.333 0.411

---

Theoretical PXRD pattern of Gd3Ni7B2 for λ = 1.5418 Å (Cu Kα), from a crystal structure in OQMD, relaxed with GGA-PBE.
Peak positions follow from Bragg's law for the DFT cell and can differ from measured ones.

The 12 most intense peaks (10 to 80 degrees two-theta), in order of rising 2θ:
2θ (°)	I/Imax	h k l
21.0	12.3	1 0 1
32.1	17.1	1 0 4
35.0	39.0	1 1 0
37.3	100.0	1 0 5
40.7	19.3	2 0 0
41.2	59.5	2 0 1
43.4	77.5	1 1 4
61.8	8.3	1 0 9
64.3	36.9	2 1 5
68.6	20.2	3 0 4
73.1	22.2	2 0 9
74.0	20.9	2 2 0

Crystal structure
Cell lengths 5.123, 5.123, 14.357 Å; angles 90.00, 90.00, 120.00 degrees
Positions (direct):
1 Gd 0.333 0.667 0.031
2 Gd 0.333 0.667 0.250
3 Gd 0.333 0.667 0.469
4 Gd 0.667 0.333 0.531
5 Gd 0.667 0.333 0.750
6 Gd 0.667 0.333 0.969
7 Ni 0.000 0.000 0.000
8 Ni 0.000 0.000 0.500
9 Ni 0.165 0.331 0.650
10 Ni 0.165 0.331 0.850
11 Ni 0.165 0.835 0.650
12 Ni 0.165 0.835 0.850
13 Ni 0.331 0.165 0.150
14 Ni 0.331 0.165 0.350
15 Ni 0.669 0.835 0.650
16 Ni 0.669 0.835 0.850
17 Ni 0.835 0.165 0.150
18 Ni 0.835 0.165 0.350
19 Ni 0.835 0.669 0.150
20 Ni 0.835 0.669 0.350
21 B 0.000 0.000 0.250
22 B 0.000 0.000 0.750
23 B 0.333 0.667 0.750
24 B 0.667 0.333 0.250

---

Theoretical PXRD pattern of SmGdNi8B2 for λ = 1.5418 Å (Cu Kα), from a crystal structure in OQMD, relaxed with GGA-PBE.
Peak positions follow from Bragg's law for the DFT cell and can differ from measured ones.

The 12 most intense peaks (10 to 80 degrees two-theta), in order of rising 2θ:
2θ (°)	I/Imax	h k l
20.4	11.0	1 0 0
32.9	86.6	1 0 2
35.7	30.3	1 1 0
38.7	12.3	0 0 3
41.5	75.2	2 0 0
44.4	100.0	1 1 2
52.4	12.7	0 0 4
62.4	27.3	2 1 2
65.0	15.2	1 1 4
68.9	14.3	2 0 4
70.2	24.3	3 0 2
75.7	21.3	2 2 0

Crystal structure
Cell lengths 5.027, 5.027, 6.987 Å; angles 90.00, 90.00, 120.00 degrees
Positions (direct):
1 Sm 0.000 0.000 0.000
2 Gd 0.000 0.000 0.500
3 Ni 0.000 0.500 0.293
4 Ni 0.000 0.500 0.707
5 Ni 0.333 0.667 0.000
6 Ni 0.500 0.000 0.293
7 Ni 0.500 0.000 0.707
8 Ni 0.500 0.500 0.293
9 Ni 0.500 0.500 0.707
10 Ni 0.667 0.333 0.000
11 B 0.333 0.667 0.500
12 B 0.667 0.333 0.500

---

Theoretical PXRD pattern of SmGdNi8B2 for λ = 1.5418 Å (Cu Kα), from a crystal structure in OQMD, relaxed with GGA-PBE.
Peak positions follow from Bragg's law for the DFT cell and can differ from measured ones.

The 12 most intense peaks (10 to 80 degrees two-theta), in order of rising 2θ:
2θ (°)	I/Imax	h k l
32.9	86.6	1 0 2
35.7	30.2	1 1 0
38.0	11.9	1 1 1
38.7	12.8	0 0 3
41.5	75.2	2 0 0
44.4	100.0	1 1 2
52.4	12.8	0 0 4
62.4	27.4	2 1 2
65.0	15.0	1 1 4
68.9	14.6	2 0 4
70.2	24.3	3 0 2
75.6	21.3	2 2 0

Crystal structure
Cell lengths 5.030, 5.030, 6.983 Å; angles 90.00, 90.00, 120.00 degrees
Positions (direct):
1 Sm 0.000 0.000 0.000
2 Gd 0.000 0.000 0.500
3 Ni 0.000 0.500 0.207
4 Ni 0.000 0.500 0.793
5 Ni 0.333 0.667 0.500
6 Ni 0.500 0.000 0.207
7 Ni 0.500 0.000 0.793
8 Ni 0.500 0.500 0.207
9 Ni 0.500 0.500 0.793
10 Ni 0.667 0.333 0.500
11 B 0.333 0.667 0.000
12 B 0.667 0.333 0.000

---

Theoretical PXRD pattern of GdB4Os for λ = 1.5418 Å (Cu Kα), from a crystal structure in OQMD, relaxed with GGA-PBE.
Peak positions follow from Bragg's law for the DFT cell and can differ from measured ones.

The 12 most intense peaks (10 to 80 degrees two-theta), in order of rising 2θ:
2θ (°)	I/Imax	h k l
24.9	88.7	0 0 1
30.8	85.7	0 4 0
34.4	22.1	1 4 0
38.0	30.9	2 3 0
40.0	100.0	0 4 1
42.9	28.3	1 4 1
46.0	41.4	2 3 1
51.0	18.8	0 0 2
60.8	25.7	0 4 2
65.4	13.0	2 3 2
67.8	12.5	4 0 1
72.1	12.7	1 8 1

Crystal structure
Cell lengths 5.991, 11.589, 3.579 Å; angles 90.00, 90.00, 90.00 degrees
Positions (direct):
1 Gd 0.128 0.150 0.000
2 Gd 0.372 0.650 0.000
3 Gd 0.628 0.350 0.000
4 Gd 0.872 0.850 0.000
5 B 0.026 0.691 0.500
6 B 0.112 0.546 0.500
7 B 0.137 0.970 0.500
8 B 0.212 0.815 0.500
9 B 0.288 0.315 0.500
10 B 0.363 0.470 0.500
11 B 0.388 0.046 0.500
12 B 0.474 0.191 0.500
13 B 0.526 0.809 0.500
14 B 0.612 0.954 0.500
15 B 0.637 0.530 0.500
16 B 0.712 0.685 0.500
17 B 0.788 0.185 0.500
18 B 0.863 0.030 0.500
19 B 0.888 0.454 0.500
20 B 0.974 0.309 0.500
21 Os 0.140 0.407 0.000
22 Os 0.360 0.907 0.000
23 Os 0.640 0.093 0.000
24 Os 0.860 0.593 0.000